No. 1
This entry pairs a crystal structure of Tl8CdHg4 with its computed PXRD pattern. Radiation: Cu Kα, 1.54184 Å. Structure: a cell relaxed with GGA-PBE.

Most intense lines, 2θ from 15° to 90°, low angle first:
20.63 deg, I = 17, (0 0 3)
23.86 deg, I = 9, (2 0 2)
34.00 deg, I = 100, (2 2 0)
40.08 deg, I = 7, (2 2 3)
48.85 deg, I = 18, (4 0 4)
60.80 deg, I = 29, (6 0 0)
61.00 deg, I = 9, (2 0 8)
71.47 deg, I = 6, (4 4 0)
81.58 deg, I = 8, (6 2 4)
81.74 deg, I = 8, (4 2 8)

Structural model:
```
data_Tl8CdHg4
_chemical_formula_sum 'Tl24 Cd3 Hg12'
_space_group_name_H-M_alt 'R -3 m'
_space_group_IT_number 166
_space_group_name_Hall '-R 3 2"'
_cell_length_a 10.5605
_cell_length_b 10.5605
_cell_length_c 12.8829
_cell_angle_alpha 90.00
_cell_angle_beta 90.00
_cell_angle_gamma 120.00
loop_
_atom_site_label
_atom_site_type_symbol
_atom_site_fract_x
_atom_site_fract_y
_atom_site_fract_z
_atom_site_occupancy
Tl1 Tl 0.0000 0.0000 0.2473 1
Tl2 Tl 0.0032 0.5016 0.7487 1
Cd1 Cd 0.0000 0.0000 0.5000 1
Hg1 Hg 0.0000 0.0000 0.0000 1
Hg2 Hg 0.0000 0.5000 0.0000 1
```

=====

No. 2
This entry pairs a crystal structure of Tl6CdHg5 with its computed PXRD pattern. Radiation: Cu Kα, 1.54184 Å. Structure: a cell relaxed with GGA-PBE.

Most intense lines, 2θ from 15° to 90°, low angle first:
32.07 deg, I = 100, (1 2 1)
32.31 deg, I = 98, (1 2 -2)
33.50 deg, I = 45, (0 0 3)
35.70 deg, I = 38, (2 0 -1)
42.35 deg, I = 24, (0 4 0)
55.04 deg, I = 22, (0 4 3)
56.56 deg, I = 20, (2 4 -1)
58.84 deg, I = 18, (1 2 4)
59.28 deg, I = 18, (1 2 -5)
61.72 deg, I = 16, (3 2 0)

Structural model:
```
data_Tl6CdHg5
_chemical_formula_sum 'Tl6 Cd1 Hg5'
_space_group_name_H-M_alt 'P 1 2/m 1'
_space_group_IT_number 10
_space_group_name_Hall '-P 2y'
_cell_length_a 5.030
_cell_length_b 8.537
_cell_length_c 8.381
_cell_angle_alpha 90.00
_cell_angle_beta 106.75
_cell_angle_gamma 90.00
loop_
_atom_site_label
_atom_site_type_symbol
_atom_site_fract_x
_atom_site_fract_y
_atom_site_fract_z
_atom_site_occupancy
Tl1 Tl 0.000 0.247 0.000 1
Tl2 Tl 0.331 0.252 0.666 1
Cd1 Cd 0.500 0.500 0.000 1
Hg1 Hg 0.165 0.500 0.325 1
Hg2 Hg 0.170 0.000 0.334 1
Hg3 Hg 0.500 0.000 0.000 1
```

=====

No. 3
This entry pairs a crystal structure of TlCd8Hg4 with its computed PXRD pattern. Radiation: Cu Kα, 1.54184 Å. Structure: a cell relaxed with GGA-PBE.

Most intense lines, 2θ from 15° to 90°, low angle first:
28.92 deg, I = 26, (1 0 3)
29.85 deg, I = 39, (1 1 0)
31.47 deg, I = 30, (1 1 1)
31.61 deg, I = 65, (1 1 -2)
34.73 deg, I = 100, (1 -2 1)
34.82 deg, I = 74, (1 0 4)
35.44 deg, I = 53, (2 -1 0)
36.20 deg, I = 39, (-2 1 1)
36.44 deg, I = 86, (-1 1 4)
37.89 deg, I = 48, (0 1 -5)

Structural model:
```
data_TlCd8Hg4
_chemical_formula_sum 'Tl1 Cd8 Hg4'
_space_group_name_H-M_alt 'P -1'
_space_group_IT_number 2
_space_group_name_Hall '-P 1'
_cell_length_a 5.132
_cell_length_b 5.293
_cell_length_c 12.731
_cell_angle_alpha 96.52
_cell_angle_beta 90.93
_cell_angle_gamma 109.35
loop_
_atom_site_label
_atom_site_type_symbol
_atom_site_fract_x
_atom_site_fract_y
_atom_site_fract_z
_atom_site_occupancy
Tl1 Tl 0.000 0.000 0.000 1
Cd1 Cd 0.125 0.027 0.761 1
Cd2 Cd 0.350 0.589 0.678 1
Cd3 Cd 0.374 0.834 0.393 1
Cd4 Cd 0.377 0.661 0.921 1
Hg1 Hg 0.128 0.273 0.455 1
Hg2 Hg 0.237 0.638 0.160 1
```

=====

No. 4
This entry pairs a crystal structure of Tl3CdHg6 with its computed PXRD pattern. Radiation: Cu Kα, 1.54184 Å. Structure: a cell relaxed with GGA-PBE.

Most intense lines, 2θ from 15° to 90°, low angle first:
30.36 deg, I = 48, (0 0 3)
31.06 deg, I = 100, (2 -1 1)
33.99 deg, I = 29, (2 0 0)
35.81 deg, I = 99, (1 1 2)
46.70 deg, I = 16, (3 -1 1)
51.09 deg, I = 32, (2 -1 4)
52.00 deg, I = 18, (3 0 0)
60.59 deg, I = 16, (1 1 5)
64.56 deg, I = 18, (4 -1 1)
67.42 deg, I = 16, (3 1 2)

Structural model:
```
data_Tl3CdHg6
_chemical_formula_sum 'Tl3 Cd1 Hg6'
_space_group_name_H-M_alt 'P -3 1 m'
_space_group_IT_number 162
_space_group_name_Hall '-P 3 2'
_cell_length_a 6.0920
_cell_length_b 6.0920
_cell_length_c 8.8327
_cell_angle_alpha 90.00
_cell_angle_beta 90.00
_cell_angle_gamma 120.00
loop_
_atom_site_label
_atom_site_type_symbol
_atom_site_fract_x
_atom_site_fract_y
_atom_site_fract_z
_atom_site_occupancy
Tl1 Tl 0.0000 0.0000 0.0000 1
Tl2 Tl 0.3333 0.6667 0.0000 1
Cd1 Cd 0.0000 0.0000 0.5000 1
Hg1 Hg 0.0000 0.4094 0.3203 1
```

=====

No. 5
This entry pairs a crystal structure of Tl2Cd7Hg3 with its computed PXRD pattern. Radiation: Cu Kα, 1.54184 Å. Structure: a cell relaxed with GGA-PBE.

Most intense lines, 2θ from 15° to 90°, low angle first:
22.18 deg, I = 20, (1 0 3)
31.95 deg, I = 29, (0 0 7)
32.59 deg, I = 44, (1 0 6)
33.53 deg, I = 35, (0 1 4)
34.46 deg, I = 100, (1 1 2)
35.65 deg, I = 28, (2 0 -1)
35.99 deg, I = 27, (1 1 -3)
36.60 deg, I = 20, (1 0 -7)
38.03 deg, I = 21, (1 1 -4)
40.56 deg, I = 20, (1 1 -5)

Structural model:
```
data_Tl2Cd7Hg3
_chemical_formula_sum 'Tl2 Cd7 Hg3'
_space_group_name_H-M_alt 'P 1 2/m 1'
_space_group_IT_number 10
_space_group_name_Hall '-P 2y'
_cell_length_a 5.078
_cell_length_b 3.187
_cell_length_c 19.607
_cell_angle_alpha 90.00
_cell_angle_beta 90.11
_cell_angle_gamma 90.00
loop_
_atom_site_label
_atom_site_type_symbol
_atom_site_fract_x
_atom_site_fract_y
_atom_site_fract_z
_atom_site_occupancy
Tl1 Tl 0.172 0.000 0.292 1
Cd1 Cd 0.209 0.500 0.143 1
Cd2 Cd 0.241 0.000 0.458 1
Cd3 Cd 0.292 0.000 0.851 1
Cd4 Cd 0.500 0.500 0.000 1
Hg1 Hg 0.000 0.000 0.000 1
Hg2 Hg 0.294 0.500 0.614 1
```

=====

No. 6
This entry pairs a crystal structure of TlCd6Hg8 with its computed PXRD pattern. Radiation: Cu Kα, 1.54184 Å. Structure: a cell relaxed with GGA-PBE.

Most intense lines, 2θ from 15° to 90°, low angle first:
25.52 deg, I = 35, (2 -1 1)
27.95 deg, I = 30, (0 2 1)
29.93 deg, I = 21, (1 2 0)
34.05 deg, I = 42, (3 0 0)
34.29 deg, I = 100, (3 -1 1)
34.99 deg, I = 22, (0 1 2)
38.63 deg, I = 47, (1 1 2)
43.03 deg, I = 21, (2 2 1)
53.30 deg, I = 17, (3 2 1)
62.30 deg, I = 21, (0 3 3)

Structural model:
```
data_TlCd6Hg8
_chemical_formula_sum 'Tl1 Cd6 Hg8'
_space_group_name_H-M_alt 'P -3'
_space_group_IT_number 147
_space_group_name_Hall '-P 3'
_cell_length_a 9.1211
_cell_length_b 9.1211
_cell_length_c 5.4231
_cell_angle_alpha 90.00
_cell_angle_beta 90.00
_cell_angle_gamma 120.00
loop_
_atom_site_label
_atom_site_type_symbol
_atom_site_fract_x
_atom_site_fract_y
_atom_site_fract_z
_atom_site_occupancy
Tl1 Tl 0.0000 0.0000 0.0000 1
Cd1 Cd 0.1217 0.6509 0.1601 1
Hg1 Hg 0.0193 0.7262 0.6589 1
Hg2 Hg 0.3333 0.6667 0.6717 1
```

=====

No. 7
This entry pairs a crystal structure of Tl5CdHg with its computed PXRD pattern. Radiation: Cu Kα, 1.54184 Å. Structure: a cell relaxed with GGA-PBE.

Most intense lines, 2θ from 15° to 90°, low angle first:
27.92 deg, I = 30, (0 2 0)
28.02 deg, I = 27, (1 0 3)
32.33 deg, I = 75, (0 0 4)
32.50 deg, I = 66, (1 2 1)
32.83 deg, I = 100, (2 0 2)
40.00 deg, I = 30, (1 2 3)
40.29 deg, I = 24, (2 1 3)
52.55 deg, I = 23, (2 1 5)
53.03 deg, I = 16, (3 2 1)
68.83 deg, I = 18, (4 0 4)

Structural model:
```
data_Tl5CdHg
_chemical_formula_sum 'Tl10 Cd2 Hg2'
_space_group_name_H-M_alt 'I m m 2'
_space_group_IT_number 44
_space_group_name_Hall 'I 2 -2'
_cell_length_a 6.269
_cell_length_b 6.383
_cell_length_c 11.090
_cell_angle_alpha 90.00
_cell_angle_beta 90.00
_cell_angle_gamma 90.00
loop_
_atom_site_label
_atom_site_type_symbol
_atom_site_fract_x
_atom_site_fract_y
_atom_site_fract_z
_atom_site_occupancy
Tl1 Tl 0.000 0.000 0.000 1
Tl2 Tl 0.000 0.259 0.261 1
Tl3 Tl 0.244 0.500 0.983 1
Cd1 Cd 0.000 0.500 0.658 1
Hg1 Hg 0.000 0.000 0.730 1
```

=====

No. 8
This entry pairs a crystal structure of Tl7Cd2Hg2 with its computed PXRD pattern. Radiation: Cu Kα, 1.54184 Å. Structure: a cell relaxed with GGA-PBE.

Most intense lines, 2θ from 15° to 90°, low angle first:
26.92 deg, I = 44, (0 5 1)
28.82 deg, I = 32, (1 3 0)
30.28 deg, I = 31, (0 3 3)
30.45 deg, I = 82, (1 1 2)
33.11 deg, I = 100, (1 4 1)
33.80 deg, I = 51, (1 3 2)
34.95 deg, I = 46, (0 0 4)
35.40 deg, I = 62, (0 6 2)
37.43 deg, I = 28, (1 2 3)
55.46 deg, I = 35, (1 4 5)

Structural model:
```
data_Tl7Cd2Hg2
_chemical_formula_sum 'Tl14 Cd4 Hg4'
_space_group_name_H-M_alt 'I m m 2'
_space_group_IT_number 44
_space_group_name_Hall 'I 2 -2'
_cell_length_a 3.656
_cell_length_b 17.495
_cell_length_c 10.268
_cell_angle_alpha 90.00
_cell_angle_beta 90.00
_cell_angle_gamma 90.00
loop_
_atom_site_label
_atom_site_type_symbol
_atom_site_fract_x
_atom_site_fract_y
_atom_site_fract_z
_atom_site_occupancy
Tl1 Tl 0.000 0.000 0.000 1
Tl2 Tl 0.000 0.104 0.453 1
Tl3 Tl 0.000 0.328 0.678 1
Tl4 Tl 0.000 0.349 0.245 1
Cd1 Cd 0.000 0.000 0.705 1
Cd2 Cd 0.000 0.500 0.754 1
Hg1 Hg 0.000 0.238 0.957 1
```